This entry pairs a crystal structure of LiAcSnPd2 with its calculated powder XRD pattern. Radiation: Cu Kα (λ = 1.5418 Å). Structure: a DFT-relaxed cell (PBE, Alexandria).

Crystal structure
```
data_LiAcSnPd2
_chemical_formula_sum 'Li2 Ac2 Sn2 Pd4'
_space_group_name_H-M_alt 'I -4 m 2'
_space_group_IT_number 119
_space_group_name_Hall 'I -4 -2'
_cell_length_a 4.225
_cell_length_b 4.225
_cell_length_c 12.452
_cell_angle_alpha 90.00
_cell_angle_beta 90.00
_cell_angle_gamma 90.00
loop_
_atom_site_label
_atom_site_fract_x
_atom_site_fract_y
_atom_site_fract_z
Li1 0.000 0.000 0.000
Ac1 0.000 0.500 0.750
Sn1 0.000 0.000 0.500
Pd1 0.000 0.500 0.139
```

Main lines, in order of falling intensity (2θ from 10° to 90°):
- hkl 1 0 3, 2θ = 30.18°, intensity 100
- hkl 1 1 2, 2θ = 33.26°, intensity 96
- hkl 1 0 5, 2θ = 42.12°, intensity 66
- hkl 2 0 0, 2θ = 42.80°, intensity 51
- hkl 2 1 5, 2θ = 61.61°, intensity 43
- hkl 2 1 3, 2θ = 53.27°, intensity 42
- hkl 1 1 0, 2θ = 29.91°, intensity 41
- hkl 1 0 1, 2θ = 22.22°, intensity 28
- hkl 3 1 2, 2θ = 72.33°, intensity 21
- hkl 0 0 2, 2θ = 14.23°, intensity 21

This entry pairs a crystal structure of Li2Ac3ZnPd6 with its calculated powder XRD pattern. Radiation: Cu Kα (λ = 1.5418 Å). Structure: a DFT-relaxed cell (PBE, Alexandria).

Crystal structure
```
data_Li2Ac3ZnPd6
_chemical_formula_sum 'Li2 Ac3 Zn1 Pd6'
_space_group_name_H-M_alt 'P -3 m 1'
_space_group_IT_number 164
_space_group_name_Hall '-P 3 2"'
_cell_length_a 5.9371
_cell_length_b 5.9371
_cell_length_c 8.7361
_cell_angle_alpha 90.00
_cell_angle_beta 90.00
_cell_angle_gamma 120.00
loop_
_atom_site_label
_atom_site_fract_x
_atom_site_fract_y
_atom_site_fract_z
Li1 0.3333 0.6667 0.0330
Ac1 0.0000 0.0000 0.0000
Ac2 0.3333 0.6667 0.6163
Zn1 0.0000 0.0000 0.5000
Pd1 0.1734 0.3468 0.2794
```

Main lines, in order of falling intensity (2θ from 10° to 90°):
- hkl 0 2 1, 2θ = 36.43°, intensity 100
- hkl 2 0 2, 2θ = 40.72°, intensity 62
- hkl 1 0 1, 2θ = 20.04°, intensity 49
- hkl 1 1 2, 2θ = 36.60°, intensity 38
- hkl 0 1 2, 2θ = 26.78°, intensity 37
- hkl 0 0 1, 2θ = 10.13°, intensity 36
- hkl 1 0 3, 2θ = 35.43°, intensity 32
- hkl 1 1 0, 2θ = 30.10°, intensity 30
- hkl 0 1 4, 2θ = 45.10°, intensity 26
- hkl 2 2 0, 2θ = 62.58°, intensity 25

This entry pairs a crystal structure of Li2AcPr2Si2 with its calculated powder XRD pattern. Radiation: Cu Kα (λ = 1.5418 Å). Structure: a DFT-relaxed cell (PBE, Alexandria).

Crystal structure
```
data_Li2AcPr2Si2
_chemical_formula_sum 'Li6 Ac3 Pr6 Si6'
_space_group_name_H-M_alt 'R -3 m'
_space_group_IT_number 166
_space_group_name_Hall '-R 3 2"'
_cell_length_a 4.6319
_cell_length_b 4.6319
_cell_length_c 28.4880
_cell_angle_alpha 90.00
_cell_angle_beta 90.00
_cell_angle_gamma 120.00
loop_
_atom_site_label
_atom_site_fract_x
_atom_site_fract_y
_atom_site_fract_z
Li1 0.0000 0.0000 0.0905
Ac1 0.0000 0.0000 0.5000
Pr1 0.0000 0.0000 0.3701
Si1 0.0000 0.0000 0.2426
```

Main lines, in order of falling intensity (2θ from 10° to 90°):
- hkl 1 0 1, 2θ = 22.38°, intensity 100
- hkl 0 1 8, 2θ = 33.65°, intensity 66
- hkl 1 0 7, 2θ = 31.31°, intensity 63
- hkl 1 1 0, 2θ = 38.89°, intensity 49
- hkl 1 1 15, 2θ = 63.33°, intensity 20
- hkl 2 0 8, 2θ = 52.35°, intensity 19
- hkl 1 2 8, 2θ = 67.10°, intensity 18
- hkl 1 1 9, 2θ = 48.72°, intensity 18
- hkl 0 2 7, 2θ = 50.75°, intensity 16
- hkl 0 2 1, 2θ = 45.33°, intensity 16

This entry pairs a crystal structure of Li2AcPrSn2 with its calculated powder XRD pattern. Radiation: Cu Kα (λ = 1.5418 Å). Structure: a DFT-relaxed cell (PBE, Alexandria).

Crystal structure
```
data_Li2AcPrSn2
_chemical_formula_sum 'Li2 Ac1 Pr1 Sn2'
_space_group_name_H-M_alt 'P -3 m 1'
_space_group_IT_number 164
_space_group_name_Hall '-P 3 2"'
_cell_length_a 4.8612
_cell_length_b 4.8612
_cell_length_c 8.1020
_cell_angle_alpha 90.00
_cell_angle_beta 90.00
_cell_angle_gamma 120.00
loop_
_atom_site_label
_atom_site_fract_x
_atom_site_fract_y
_atom_site_fract_z
Li1 0.3333 0.6667 0.2055
Ac1 0.0000 0.0000 0.5000
Pr1 0.0000 0.0000 0.0000
Sn1 0.3333 0.6667 0.7677
```

Main lines, in order of falling intensity (2θ from 10° to 90°):
- hkl 1 0 2, 2θ = 30.63°, intensity 100
- hkl 1 1 0, 2θ = 36.98°, intensity 49
- hkl 0 1 1, 2θ = 23.82°, intensity 38
- hkl 1 0 0, 2θ = 21.10°, intensity 29
- hkl 0 2 2, 2θ = 48.75°, intensity 28
- hkl 2 1 2, 2θ = 62.73°, intensity 27
- hkl 1 1 4, 2θ = 59.40°, intensity 23
- hkl 1 3 2, 2θ = 86.81°, intensity 11
- hkl 3 0 0, 2θ = 66.65°, intensity 9
- hkl 3 0 4, 2θ = 83.87°, intensity 9